Starting from a cell relaxed with PBE, the powder X-ray diffraction pattern of HoAl6Fe6 was calculated for Cu Kα (λ = 1.5418 Å).
Peak positions follow from Bragg's law for the DFT cell and can differ from measured ones.

Main lines, sorted by position (2θ = 10–90°):
2θ (°)	Rel. int.	index
14.6	55	0 1 1
20.6	24	1 1 0
29.3	29	1 1 2
29.5	78	1 2 1
36.0	23	2 0 0
41.8	100	0 0 4
42.0	93	2 2 0
42.2	34	1 3 2
42.6	40	0 4 0
47.2	35	2 2 2
61.2	41	0 4 4
76.2	25	4 0 0

Structure:
abc: 4.994 8.486 8.652
angles: 90.00 90.00 90.00
Space group Immm (No. 71)
Symmetry-distinct sites (fractional):
Ho1 0.000 0.000 0.000 [2 per cell]
Al1 0.000 0.000 0.347 [4 per cell]
Al2 0.000 0.336 0.000 [4 per cell]
Al3 0.000 0.500 0.306 [4 per cell]
Fe1 0.000 0.262 0.500 [4 per cell]
Fe2 0.250 0.250 0.250 [8 per cell]

***

Starting from a cell relaxed with PBE, the powder X-ray diffraction pattern of Ba2CoCl6 was calculated for Cu Kα (λ = 1.5418 Å).
Peak positions follow from Bragg's law for the DFT cell and can differ from measured ones.

Main lines, sorted by position (2θ = 10–90°):
2θ (°)	Rel. int.	index
17.5	33	0 1 2
20.0	37	1 1 -3
22.1	100	2 1 -2
22.8	97	1 0 2
23.2	32	2 1 -1
25.3	37	1 1 2
30.0	28	2 2 -1
31.3	38	1 1 -5
33.9	28	2 0 2
35.0	66	1 3 -2
37.6	53	3 1 -6
39.0	36	4 0 -4

Structure:
abc: 9.233 8.190 15.862
angles: 90.00 125.46 90.00
Space group P2_1/c (No. 14)
Symmetry-distinct sites (fractional):
Ba1 0.027 0.220 0.404 [4 per cell]
Ba2 0.434 0.110 0.295 [4 per cell]
Co1 0.300 0.643 0.432 [4 per cell]
Cl1 0.004 0.080 0.203 [4 per cell]
Cl2 0.214 0.101 0.634 [4 per cell]
Cl3 0.250 0.572 0.570 [4 per cell]
Cl4 0.287 0.579 0.961 [4 per cell]
Cl5 0.359 0.733 0.303 [4 per cell]
Cl6 0.372 0.146 0.927 [4 per cell]

***

Starting from a cell relaxed with PBE, the powder X-ray diffraction pattern of HoSbRh was calculated for Cu Kα (λ = 1.5418 Å).
Peak positions follow from Bragg's law for the DFT cell and can differ from measured ones.

Main lines, sorted by position (2θ = 10–90°):
2θ (°)	Rel. int.	index
32.6	52	1 1 2
33.8	100	2 1 1
34.0	37	2 0 2
39.3	43	0 2 0
39.5	26	3 0 1
39.8	55	0 1 3
52.9	21	2 2 2
57.0	18	3 2 1
65.0	24	3 1 4
67.1	11	1 3 2
67.8	13	2 3 1
73.4	14	5 1 2

Structure:
abc: 7.155 4.581 7.816
angles: 90.00 90.00 90.00
Space group Pnma (No. 62)
Symmetry-distinct sites (fractional):
Ho1 0.011 0.250 0.199 [4 per cell]
Sb1 0.190 0.250 0.592 [4 per cell]
Rh1 0.200 0.750 0.419 [4 per cell]

***

Starting from a cell relaxed with PBE, the powder X-ray diffraction pattern of HoAgSn2 was calculated for Cu Kα (λ = 1.5418 Å).
Peak positions follow from Bragg's law for the DFT cell and can differ from measured ones.

Main lines, sorted by position (2θ = 10–90°):
2θ (°)	Rel. int.	index
19.1	2	1 0 0
27.9	2	1 0 1
34.1	100	1 1 1
38.8	35	2 0 0
40.9	15	0 0 2
56.1	12	2 2 0
57.7	22	2 0 2
67.2	28	3 1 1
70.1	12	1 1 3
71.7	12	2 2 2
83.3	4	4 0 0
88.7	2	0 0 4

Structure:
abc: 4.640 4.640 4.410
angles: 90.00 90.00 90.00
Space group P4/mmm (No. 123)
Symmetry-distinct sites (fractional):
Ho1 0.000 0.000 0.000 [1 per cell]
Ag1 0.500 0.500 0.000 [1 per cell]
Sn1 0.000 0.500 0.500 [2 per cell]

***

Starting from a cell relaxed with PBE, the powder X-ray diffraction pattern of GaNi3Sb was calculated for Cu Kα (λ = 1.5418 Å).
Peak positions follow from Bragg's law for the DFT cell and can differ from measured ones.

Main lines, sorted by position (2θ = 10–90°):
2θ (°)	Rel. int.	index
17.9	27	0 0 1
30.8	57	1 0 1
43.9	100	1 1 0
44.4	86	1 0 2
47.7	12	1 1 1
54.6	11	2 0 1
58.1	10	1 1 2
61.8	7	1 0 3
64.2	27	2 0 2
72.5	10	2 1 1
80.6	15	3 0 0
81.0	27	2 1 2

Structure:
abc: 4.1287 4.1287 4.9641
angles: 90.00 90.00 120.00
Space group P-6m2 (No. 187)
Symmetry-distinct sites (fractional):
Ga1 0.0000 0.0000 0.0000 [1 per cell]
Ni1 0.0000 0.0000 0.5000 [1 per cell]
Ni2 0.3333 0.6667 0.2456 [2 per cell]
Sb1 0.6667 0.3333 0.5000 [1 per cell]

***

Starting from a cell relaxed with PBE, the powder X-ray diffraction pattern of MgSn2 was calculated for Cu Kα (λ = 1.5418 Å).
Peak positions follow from Bragg's law for the DFT cell and can differ from measured ones.

Main lines, sorted by position (2θ = 10–90°):
2θ (°)	Rel. int.	index
11.5	23	0 0 2
23.1	16	0 0 4
30.3	25	1 0 0
30.9	22	1 0 1
35.0	21	0 0 6
35.1	100	1 0 3
47.0	14	1 0 6
51.9	12	1 0 7
53.9	20	1 1 0
59.4	8	1 1 4
62.8	16	1 0 9
66.0	38	1 1 6

Structure:
abc: 3.4007 3.4007 15.3891
angles: 90.00 90.00 120.00
Space group P6_3/mmc (No. 194)
Symmetry-distinct sites (fractional):
Mg1 0.3333 0.6667 0.2500 [2 per cell]
Sn1 0.3333 0.6667 0.5910 [4 per cell]